No. 1
Computed powder diffractogram
Compound: Li4Mn3Cu3Sn2O16
Radiation: Cu Kα X-rays
Structure: a cell relaxed with PBE+U
Kinematic intensities with the Lorentz-polarization factor, no thermal factor.

Top 12 peaks for 2θ from 10° to 80°, sorted by position:
- 18.24 deg, d 4.864, rel. 45
- 19.03 deg, d 4.663, rel. 50
- 19.37 deg, d 4.581, rel. 53
- 19.56 deg, d 4.539, rel. 55
- 19.67 deg, d 4.513, rel. 100
- 19.89 deg, d 4.464, rel. 52
- 32.42 deg, d 2.762, rel. 46
- 33.11 deg, d 2.706, rel. 40
- 34.54 deg, d 2.597, rel. 50
- 35.37 deg, d 2.538, rel. 38
- 35.69 deg, d 2.516, rel. 56
- 35.99 deg, d 2.495, rel. 52

Crystal structure
a b c (Å): 5.867 5.936 9.735
angles (deg): 88.00 89.96 61.25
Positions (direct):
Li 0.000 0.000 0.000
Li 0.006 0.981 0.506
Li 0.324 0.333 0.411
Li 0.664 0.683 0.907
Mn 0.167 0.656 0.728
Mn 0.336 0.829 0.226
Mn 0.830 0.827 0.227
Cu 0.174 0.162 0.726
Cu 0.664 0.167 0.723
Cu 0.827 0.337 0.224
Sn 0.338 0.333 0.001
Sn 0.666 0.647 0.504
O 0.005 0.987 0.317
O 0.029 0.484 0.849
O 0.152 0.682 0.119
O 0.178 0.140 0.105
O 0.325 0.828 0.615
O 0.345 0.341 0.628
O 0.437 0.547 0.865
O 0.485 0.538 0.352
O 0.499 0.045 0.849
O 0.518 0.962 0.341
O 0.656 0.681 0.123
O 0.687 0.149 0.111
O 0.838 0.293 0.605
O 0.875 0.785 0.601
O 0.959 0.522 0.346
O 0.988 0.987 0.812

---

No. 2
Computed powder diffractogram
Compound: Li4Mn2Cu3Sn3O16
Radiation: Cu Kα X-rays
Structure: a cell relaxed with PBE+U
Kinematic intensities with the Lorentz-polarization factor, no thermal factor.

Top 12 peaks for 2θ from 10° to 80°, sorted by position:
- 18.74 deg, d 4.735, rel. 92
- 19.29 deg, d 4.601, rel. 100
- 25.30 deg, d 3.521, rel. 42
- 33.08 deg, d 2.708, rel. 36
- 35.04 deg, d 2.561, rel. 30
- 35.34 deg, d 2.540, rel. 68
- 35.46 deg, d 2.531, rel. 33
- 39.12 deg, d 2.302, rel. 37
- 44.80 deg, d 2.023, rel. 65
- 51.91 deg, d 1.762, rel. 19
- 60.16 deg, d 1.538, rel. 42
- 61.02 deg, d 1.518, rel. 29

Crystal structure
a b c (Å): 6.073 6.073 9.471
angles (deg): 90.10 90.10 60.24
Positions (direct):
Li 0.000 0.000 0.000
Li 0.324 0.324 0.518
Li 0.552 0.552 0.438
Li 0.646 0.646 0.899
Mn 0.006 0.006 0.416
Mn 0.331 0.331 0.910
Cu 0.324 0.840 0.689
Cu 0.495 0.495 0.179
Cu 0.840 0.324 0.689
Sn 0.002 0.497 0.196
Sn 0.497 0.002 0.196
Sn 0.834 0.834 0.685
O 0.005 0.005 0.793
O 0.144 0.144 0.545
O 0.152 0.709 0.547
O 0.182 0.182 0.060
O 0.184 0.619 0.047
O 0.326 0.834 0.309
O 0.342 0.342 0.306
O 0.485 0.485 0.800
O 0.496 0.998 0.806
O 0.619 0.184 0.047
O 0.656 0.656 0.596
O 0.661 0.661 0.090
O 0.709 0.152 0.547
O 0.834 0.326 0.309
O 0.844 0.844 0.300
O 0.998 0.496 0.806

---

No. 3
Computed powder diffractogram
Compound: Li4Ti2Mn3Cu3O16
Radiation: Cu Kα X-rays
Structure: a cell relaxed with PBE+U
Kinematic intensities with the Lorentz-polarization factor, no thermal factor.

Top 12 peaks for 2θ from 10° to 80°, sorted by position:
- 18.66 deg, d 4.755, rel. 100
- 19.64 deg, d 4.520, rel. 21
- 19.79 deg, d 4.485, rel. 40
- 19.92 deg, d 4.456, rel. 55
- 33.49 deg, d 2.676, rel. 24
- 36.66 deg, d 2.451, rel. 40
- 36.81 deg, d 2.442, rel. 27
- 40.49 deg, d 2.228, rel. 27
- 45.67 deg, d 1.986, rel. 29
- 46.07 deg, d 1.970, rel. 38
- 60.65 deg, d 1.527, rel. 20
- 63.39 deg, d 1.467, rel. 33

Crystal structure
a b c (Å): 5.837 5.869 9.512
angles (deg): 90.79 90.05 119.80
Positions (direct):
Li 0.000 0.000 0.000
Li 0.004 0.008 0.504
Li 0.337 0.675 0.602
Li 0.672 0.344 0.099
Ti 0.330 0.660 0.998
Ti 0.662 0.324 0.505
Mn 0.171 0.833 0.282
Mn 0.662 0.833 0.282
Mn 0.829 0.658 0.781
Cu 0.173 0.345 0.283
Cu 0.340 0.171 0.782
Cu 0.830 0.171 0.783
O 0.042 0.542 0.156
O 0.156 0.820 0.901
O 0.168 0.337 0.912
O 0.334 0.158 0.404
O 0.340 0.680 0.388
O 0.485 0.972 0.167
O 0.500 0.543 0.155
O 0.523 0.047 0.647
O 0.532 0.499 0.654
O 0.664 0.820 0.901
O 0.671 0.342 0.887
O 0.822 0.157 0.404
O 0.839 0.678 0.394
O 0.966 0.499 0.654
O 0.996 0.993 0.693
O 0.999 0.998 0.190

---

No. 4
Computed powder diffractogram
Compound: Li2MnV4CuO12
Radiation: Cu Kα X-rays
Structure: a cell relaxed with PBE+U
Kinematic intensities with the Lorentz-polarization factor, no thermal factor.

Top 12 peaks for 2θ from 10° to 80°, sorted by position:
- 18.27 deg, d 4.857, rel. 60
- 24.07 deg, d 3.697, rel. 33
- 24.96 deg, d 3.567, rel. 22
- 27.02 deg, d 3.300, rel. 100
- 29.60 deg, d 3.018, rel. 67
- 31.92 deg, d 2.804, rel. 36
- 34.08 deg, d 2.631, rel. 25
- 35.16 deg, d 2.553, rel. 33
- 40.05 deg, d 2.251, rel. 17
- 51.22 deg, d 1.784, rel. 16
- 51.64 deg, d 1.770, rel. 23
- 64.88 deg, d 1.437, rel. 16

Crystal structure
a b c (Å): 7.086 7.086 5.704
angles (deg): 106.34 106.34 86.44
Positions (direct):
Li 0.000 0.000 0.000
Li 0.578 0.422 0.500
Mn 0.890 0.110 0.500
V 0.192 0.429 0.017
V 0.396 0.005 0.489
V 0.571 0.808 0.983
V 0.995 0.604 0.511
Cu 0.666 0.334 0.000
O 0.022 0.238 0.888
O 0.116 0.600 0.267
O 0.163 0.089 0.380
O 0.186 0.544 0.773
O 0.400 0.884 0.733
O 0.421 0.345 0.129
O 0.456 0.814 0.227
O 0.595 0.178 0.617
O 0.655 0.579 0.871
O 0.762 0.978 0.112
O 0.822 0.405 0.383
O 0.911 0.837 0.620